# 1
Computed powder X-ray diffraction pattern of Zn6Cu2Pt for copper Kα, from a crystal structure in Alexandria, relaxed with PBE.
No peak broadening, texture or thermal motion is included.

Top 10 peaks for 2θ = 5–70°, in order of falling intensity:
Position (°2θ)	Rel. int.
41.70	100
42.31	94
11.04	22
60.85	21
26.54	17
61.03	11
24.05	11
32.94	5
43.86	5
22.18	5

Structural model:
Cell: 4.271 4.271 8.014 Å, 90.15 90.15 60.06°
Fractional positions:
Zn1 0.000 0.000 0.173
Zn2 0.000 0.000 0.827
Zn3 0.333 0.333 0.041
Zn4 0.333 0.333 0.385
Zn5 0.667 0.667 0.615
Zn6 0.667 0.667 0.959
Cu1 0.334 0.334 0.711
Cu2 0.666 0.666 0.289
Pt1 0.000 0.000 0.500


# 2
Computed powder X-ray diffraction pattern of ZnCuPt5 for copper Kα, from a crystal structure in Alexandria, relaxed with PBE.
No peak broadening, texture or thermal motion is included.

Top 10 peaks for 2θ = 5–70°, in order of falling intensity:
Position (°2θ)	Rel. int.
40.05	100
40.65	84
34.01	81
44.06	59
18.05	39
25.94	37
50.88	37
25.31	33
51.84	29
43.37	27

Structural model:
Cell: 5.531 5.531 5.531 Å, 125.50 103.22 100.99°
Fractional positions:
Zn1 0.000 0.000 0.000
Cu1 0.999 0.499 0.500
Pt1 0.138 0.325 0.813
Pt2 0.340 0.840 0.500
Pt3 0.512 0.325 0.187
Pt4 0.671 0.426 0.755
Pt5 0.671 0.917 0.245


# 3
Computed powder X-ray diffraction pattern of Zn5CuPt6 for copper Kα, from a crystal structure in Alexandria, relaxed with PBE.
No peak broadening, texture or thermal motion is included.

Top 10 peaks for 2θ = 5–70°, in order of falling intensity:
Position (°2θ)	Rel. int.
40.53	100
31.12	21
44.42	19
44.75	19
25.32	18
64.89	12
51.99	12
61.85	7
51.82	5
52.11	5

Structural model:
Cell: 7.310 7.310 7.310 Å, 147.60 122.47 67.59°
Fractional positions:
Zn1 0.000 0.000 0.000
Zn2 0.168 0.668 0.500
Zn3 0.338 0.338 0.000
Zn4 0.662 0.662 0.000
Zn5 0.832 0.332 0.500
Cu1 0.500 0.000 0.500
Pt1 0.082 0.833 0.249
Pt2 0.247 0.500 0.747
Pt3 0.415 0.167 0.249
Pt4 0.585 0.833 0.751
Pt5 0.753 0.500 0.253
Pt6 0.918 0.167 0.751


# 4
Computed powder X-ray diffraction pattern of Zn2Cu7Pt3 for copper Kα, from a crystal structure in Alexandria, relaxed with PBE.
No peak broadening, texture or thermal motion is included.

Top 10 peaks for 2θ = 5–70°, in order of falling intensity:
Position (°2θ)	Rel. int.
42.02	100
44.53	61
17.57	45
42.12	31
47.60	30
32.29	29
62.92	20
44.64	20
35.57	20
40.21	19

Structural model:
Cell: 2.788 4.071 15.206 Å, 90.00 95.17 90.00°
Fractional positions:
Zn1 0.137 0.000 0.276
Zn2 0.863 0.000 0.724
Cu1 0.082 0.500 0.167
Cu2 0.217 0.000 0.434
Cu3 0.431 0.000 0.860
Cu4 0.500 0.500 0.000
Cu5 0.569 0.000 0.140
Cu6 0.783 0.000 0.566
Cu7 0.918 0.500 0.833
Pt1 0.000 0.000 0.000
Pt2 0.327 0.500 0.652
Pt3 0.673 0.500 0.348


# 5
Computed powder X-ray diffraction pattern of Zn6Cu5Pt for copper Kα, from a crystal structure in Alexandria, relaxed with PBE.
No peak broadening, texture or thermal motion is included.

Top 10 peaks for 2θ = 5–70°, in order of falling intensity:
Position (°2θ)	Rel. int.
41.54	100
47.03	69
41.26	51
41.92	49
50.98	27
12.35	12
68.22	11
69.18	10
19.71	10
15.29	8

Structural model:
Cell: 3.867 6.086 7.166 Å, 89.72 89.38 72.18°
Fractional positions:
Zn1 0.001 0.000 0.244
Zn2 0.331 0.335 0.247
Zn3 0.333 0.335 0.753
Zn4 0.667 0.665 0.247
Zn5 0.669 0.665 0.753
Zn6 0.999 0.000 0.756
Cu1 0.169 0.663 0.000
Cu2 0.170 0.659 0.500
Cu3 0.500 0.000 0.000
Cu4 0.830 0.341 0.500
Cu5 0.831 0.337 0.000
Pt1 0.500 0.000 0.500


# 6
Computed powder X-ray diffraction pattern of Zn2Cu4Pt for copper Kα, from a crystal structure in Alexandria, relaxed with PBE.
No peak broadening, texture or thermal motion is included.

Top 10 peaks for 2θ = 5–70°, in order of falling intensity:
Position (°2θ)	Rel. int.
36.20	100
46.20	65
45.62	55
40.77	46
24.25	41
39.61	29
18.63	26
37.16	22
47.76	22
43.15	21

Structural model:
Cell: 4.422 9.101 9.526 Å, 90.00 90.00 90.00°
Fractional positions:
Zn1 0.014 0.047 0.158
Zn2 0.014 0.453 0.658
Zn3 0.486 0.547 0.158
Zn4 0.486 0.953 0.658
Zn5 0.514 0.047 0.342
Zn6 0.514 0.453 0.842
Zn7 0.986 0.547 0.342
Zn8 0.986 0.953 0.842
Cu1 0.169 0.728 0.558
Cu2 0.169 0.772 0.058
Cu3 0.179 0.689 0.810
Cu4 0.179 0.811 0.310
Cu5 0.321 0.189 0.810
Cu6 0.321 0.311 0.310
Cu7 0.331 0.228 0.558
Cu8 0.331 0.272 0.058
Cu9 0.669 0.728 0.942
Cu10 0.669 0.772 0.442
Cu11 0.679 0.689 0.690
Cu12 0.679 0.811 0.190
Cu13 0.821 0.189 0.690
Cu14 0.821 0.311 0.190
Cu15 0.831 0.228 0.942
Cu16 0.831 0.272 0.442
Pt1 0.000 0.000 0.500
Pt2 0.000 0.500 0.000
Pt3 0.500 0.000 0.000
Pt4 0.500 0.500 0.500


# 7
Computed powder X-ray diffraction pattern of Zn4Cu3Pt for copper Kα, from a crystal structure in Alexandria, relaxed with PBE.
No peak broadening, texture or thermal motion is included.

Top 10 peaks for 2θ = 5–70°, in order of falling intensity:
Position (°2θ)	Rel. int.
43.92	100
41.29	40
44.94	25
39.92	16
39.64	14
41.02	14
32.83	13
16.26	11
58.59	10
38.51	10

Structural model:
Cell: 8.745 5.450 4.547 Å, 90.00 90.00 90.00°
Fractional positions:
Zn1 0.000 0.246 0.000
Zn2 0.000 0.754 0.000
Zn3 0.250 0.245 0.370
Zn4 0.250 0.755 0.370
Zn5 0.500 0.246 0.000
Zn6 0.500 0.754 0.000
Zn7 0.750 0.245 0.630
Zn8 0.750 0.755 0.630
Cu1 0.000 0.000 0.500
Cu2 0.250 0.000 0.864
Cu3 0.250 0.500 0.868
Cu4 0.500 0.000 0.500
Cu5 0.750 0.000 0.136
Cu6 0.750 0.500 0.132
Pt1 0.000 0.500 0.500
Pt2 0.500 0.500 0.500


# 8
Computed powder X-ray diffraction pattern of Zn3Cu4Pt for copper Kα, from a crystal structure in Alexandria, relaxed with PBE.
No peak broadening, texture or thermal motion is included.

Top 10 peaks for 2θ = 5–70°, in order of falling intensity:
Position (°2θ)	Rel. int.
44.25	100
41.73	44
45.11	39
40.19	22
33.06	14
41.12	14
38.76	13
16.39	12
50.43	11
25.62	11

Structural model:
Cell: 8.658 5.409 4.539 Å, 90.00 90.00 90.00°
Fractional positions:
Zn1 0.000 0.000 0.000
Zn2 0.250 0.000 0.356
Zn3 0.250 0.500 0.347
Zn4 0.500 0.000 0.000
Zn5 0.750 0.000 0.644
Zn6 0.750 0.500 0.653
Cu1 0.000 0.245 0.500
Cu2 0.000 0.755 0.500
Cu3 0.250 0.246 0.842
Cu4 0.250 0.754 0.842
Cu5 0.500 0.245 0.500
Cu6 0.500 0.755 0.500
Cu7 0.750 0.246 0.158
Cu8 0.750 0.754 0.158
Pt1 0.000 0.500 0.000
Pt2 0.500 0.500 0.000


# 9
Computed powder X-ray diffraction pattern of Zn2Cu4Pt5 for copper Kα, from a crystal structure in Alexandria, relaxed with PBE.
No peak broadening, texture or thermal motion is included.

Top 10 peaks for 2θ = 5–70°, in order of falling intensity:
Position (°2θ)	Rel. int.
40.80	100
43.79	60
41.37	57
24.57	53
45.35	46
43.97	36
38.31	35
38.82	32
47.53	30
20.43	26

Structural model:
Cell: 6.601 17.343 2.792 Å, 90.00 90.00 90.00°
Fractional positions:
Zn1 0.113 0.219 0.000
Zn2 0.387 0.719 0.000
Zn3 0.613 0.281 0.000
Zn4 0.887 0.781 0.000
Cu1 0.029 0.633 0.000
Cu2 0.175 0.957 0.000
Cu3 0.325 0.457 0.000
Cu4 0.471 0.133 0.000
Cu5 0.529 0.867 0.000
Cu6 0.675 0.543 0.000
Cu7 0.825 0.043 0.000
Cu8 0.971 0.367 0.000
Pt1 0.000 0.500 0.500
Pt2 0.152 0.088 0.500
Pt3 0.210 0.826 0.500
Pt4 0.290 0.326 0.500
Pt5 0.348 0.588 0.500
Pt6 0.500 0.000 0.500
Pt7 0.652 0.412 0.500
Pt8 0.710 0.674 0.500
Pt9 0.790 0.174 0.500
Pt10 0.848 0.912 0.500


# 10
Computed powder X-ray diffraction pattern of Zr2CuPt8 for copper Kα, from a crystal structure in Alexandria, relaxed with PBE.
No peak broadening, texture or thermal motion is included.

Top 10 peaks for 2θ = 5–70°, in order of falling intensity:
Position (°2θ)	Rel. int.
39.28	100
45.14	34
66.99	19
46.72	14
65.75	11
22.13	9
32.03	7
13.38	6
26.95	4
43.48	3

Structural model:
Cell: 7.362 7.362 7.362 Å, 148.33 113.87 75.18°
Fractional positions:
Zr1 0.155 0.155 0.000
Zr2 0.845 0.845 0.000
Cu1 0.500 0.500 0.000
Pt1 0.094 0.340 0.754
Pt2 0.263 0.000 0.263
Pt3 0.320 0.820 0.500
Pt4 0.414 0.660 0.754
Pt5 0.586 0.340 0.246
Pt6 0.680 0.180 0.500
Pt7 0.737 0.000 0.737
Pt8 0.906 0.660 0.246


# 11
Computed powder X-ray diffraction pattern of Pu3Cu for copper Kα, from a crystal structure in Alexandria, relaxed with PBE.
No peak broadening, texture or thermal motion is included.

Top 10 peaks for 2θ = 5–70°, in order of falling intensity:
Position (°2θ)	Rel. int.
34.27	100
32.23	78
34.79	75
40.01	74
52.54	66
16.94	52
33.18	30
67.19	24
54.21	23
59.67	22

Structural model:
Cell: 5.790 5.790 5.790 Å, 151.78 73.65 113.60°
Fractional positions:
Pu1 0.000 0.000 0.000
Pu2 0.082 0.275 0.806
Pu3 0.469 0.275 0.194
Cu1 0.599 0.099 0.500


# 12
Computed powder X-ray diffraction pattern of RbPuCuS4 for copper Kα, from a crystal structure in Alexandria, relaxed with PBE.
No peak broadening, texture or thermal motion is included.

Top 10 peaks for 2θ = 5–70°, in order of falling intensity:
Position (°2θ)	Rel. int.
9.58	100
26.37	52
21.47	37
19.25	29
31.38	26
33.72	24
28.68	23
43.75	19
25.55	18
41.36	17

Structural model:
Cell: 6.853 5.315 9.594 Å, 90.00 105.71 90.00°
Fractional positions:
Rb1 0.246 0.250 0.035
Rb2 0.754 0.750 0.965
Pu1 0.279 0.250 0.559
Pu2 0.721 0.750 0.441
Cu1 0.244 0.750 0.321
Cu2 0.756 0.250 0.679
S1 0.012 0.543 0.693
S2 0.012 0.957 0.693
S3 0.404 0.750 0.562
S4 0.462 0.750 0.184
S5 0.538 0.250 0.816
S6 0.596 0.250 0.438
S7 0.988 0.043 0.307
S8 0.988 0.457 0.307